This entry pairs a crystal structure of SrTlV2O6 with its calculated PXRD pattern. Radiation: Cu Kα X-rays. Structure: a PBE+U-relaxed structure.
Lines closer than 0.1° are merged.

Structural model:
Lattice parameters (Å, degrees): 11.1680 10.7014 6.0343 90.00 103.82 90.00
Space group C2/c (No. 15)
Unique sites:
Sr 0.0000 0.1084 0.2500 x4
Tl 0.0000 0.3202 0.7500 x4
V 0.2191 0.4151 0.2706 x8
O 0.1204 0.0870 0.6564 x8
O 0.1466 0.2735 0.2061 x8
O 0.1692 0.4876 0.5124 x8

Peak list (10 most intense, 5 to 70 degrees two-theta, sorted by position)
Position (°2θ)	d_spacing	I (rel.)	index
16.35	5.422	33	2 0 0
17.48	5.074	19	1 1 -1
20.62	4.308	19	1 1 1
23.36	3.809	30	2 2 0
25.67	3.470	100	2 2 -1
27.02	3.300	24	3 1 -1
30.05	2.973	58	2 2 1
30.51	2.930	45	0 0 2
36.94	2.434	21	0 4 1
43.08	2.100	21	1 5 0